Starting from a PBE-relaxed structure, the powder X-ray diffraction pattern of Li16Nb2N8O was simulated for Cu Kα X-rays.

Principal peaks in the range 2θ from 10° to 80°, in order of rising 2θ:
- hkl 0 1 2, d = 4.818 Å, 2θ 18.4, I 100
- hkl 0 0 6, d = 4.260 Å, 2θ 20.9, I 24
- hkl 1 0 4, d = 4.034 Å, 2θ 22.0, I 71
- hkl 1 1 0, d = 3.003 Å, 2θ 29.7, I 31
- hkl 2 -1 6, d = 2.455 Å, 2θ 36.6, I 28
- hkl 2 -1 12, d = 1.737 Å, 2θ 52.7, I 28

```
data_Li16Nb2N8O
_chemical_formula_sum 'Li48 Nb6 N24 O3'
_space_group_name_H-M_alt 'R -3'
_space_group_IT_number 148
_space_group_name_Hall '-R 3'
_cell_length_a 6.0065
_cell_length_b 6.0065
_cell_length_c 25.5586
_cell_angle_alpha 90.00
_cell_angle_beta 90.00
_cell_angle_gamma 120.00
loop_
_atom_site_label
_atom_site_type_symbol
_atom_site_fract_x
_atom_site_fract_y
_atom_site_fract_z
Li1 Li 0.0000 0.0000 0.0777
Li2 Li 0.0000 0.0000 0.4172
Li3 Li 0.0072 0.6419 0.3096
Li4 Li 0.0232 0.6357 0.8084
Nb1 Nb 0.0000 0.0000 0.2494
N1 N 0.0000 0.0000 0.3267
N2 N 0.0013 0.6885 0.2245
O1 O 0.0000 0.0000 0.0000
```